The following is a calculated XRD peak list of Li2Cr3WO8. It was derived from a GGA+U-relaxed structure, using CuKα.
Lines closer than 0.1° are merged.

Atomic structure:
```
Li2Cr3WO8
1.0
5.966 0.000 0.000
-2.983 5.167 0.000
0.000 0.000 9.659
Li Cr W O
4 6 2 16
direct
0.000 0.000 0.000 Li
0.000 0.000 0.500 Li
0.333 0.667 0.410 Li
0.667 0.333 0.910 Li
0.169 0.339 0.721 Cr
0.169 0.831 0.721 Cr
0.339 0.169 0.221 Cr
0.661 0.831 0.721 Cr
0.831 0.169 0.221 Cr
0.831 0.661 0.221 Cr
0.333 0.667 0.995 W
0.667 0.333 0.495 W
0.000 0.000 0.315 O
0.000 0.000 0.815 O
0.040 0.520 0.851 O
0.168 0.335 0.103 O
0.168 0.832 0.103 O
0.333 0.667 0.615 O
0.335 0.168 0.603 O
0.480 0.520 0.851 O
0.480 0.960 0.851 O
0.520 0.040 0.351 O
0.520 0.480 0.351 O
0.665 0.832 0.103 O
0.667 0.333 0.115 O
0.832 0.168 0.603 O
0.832 0.665 0.603 O
0.960 0.480 0.351 O
```

Principal peaks in the range 10 to 80 degrees two-theta, sorted by position:
hkl	d_spacing	I_rel
1 0 1	4.556	100
1 0 2	3.528	28
1 0 3	2.732	34
1 1 2	2.538	46
2 0 1	2.496	23
2 0 3	2.015	19
2 1 1	1.914	15
1 0 5	1.810	15
2 1 3	1.670	19
2 0 5	1.547	19
2 2 0	1.491	16
1 1 6	1.417	15